1.
Simulated powder diffraction line list of LuGePd2 for Cu Kα, 1.54184 Å, from a crystal structure in OQMD, relaxed with GGA-PBE.
Kinematic intensities with the Lorentz-polarization factor, no thermal factor.

Cell and atoms:
Unit cell a=7.2386 b=7.1621 c=5.5541 alpha=90.00 beta=90.00 gamma=90.00
Space group Pnma (No. 62)
Asymmetric unit:
1 Lu 0.0239 0.2500 0.1434 x4
2 Ge 0.1199 0.7500 0.3602 x4
3 Pd 0.1844 0.0508 0.5870 x8

Peak list (10 most intense, 10 to 90 degrees two-theta, sorted by position)
Position (°2θ), intensity, hkl
32.1, 54, 2 1 1
32.2, 42, 1 2 1
34.6, 23, 1 0 2
35.3, 78, 2 2 0
36.9, 100, 1 1 2
38.9, 39, 2 2 1
40.8, 57, 3 0 1
41.1, 29, 0 3 1
43.1, 67, 1 3 1
64.3, 21, 3 3 2

=====

2.
Simulated powder diffraction line list of Lu3GePt4 for Cu Kα, 1.54184 Å, from a crystal structure in OQMD, relaxed with GGA-PBE.
Kinematic intensities with the Lorentz-polarization factor, no thermal factor.

Cell and atoms:
Unit cell a=5.5486 b=4.2511 c=6.7666 alpha=90.00 beta=90.78 gamma=90.00
Space group Pm (No. 6)
Asymmetric unit:
1 Lu 0.0000 0.0000 0.0000 x1
2 Lu 0.2327 0.0000 0.4947 x1
3 Lu 0.7251 0.5000 0.3614 x1
4 Ge 0.5012 0.5000 0.8375 x1
5 Pt 0.0531 0.5000 0.7246 x1
6 Pt 0.2066 0.5000 0.2153 x1
7 Pt 0.5172 0.0000 0.0984 x1
8 Pt 0.7065 0.0000 0.6547 x1

Peak list (10 most intense, 10 to 90 degrees two-theta, sorted by position)
Position (°2θ), intensity, hkl
29.5, 20, 1 1 -1
33.9, 100, 0 1 2
34.8, 26, 2 0 -1
35.1, 37, 2 0 1
37.5, 70, 1 1 -2
37.8, 61, 1 1 2
40.9, 59, 2 1 -1
41.2, 63, 2 1 1
42.5, 64, 0 2 0
56.3, 20, 2 2 1

=====

3.
Simulated powder diffraction line list of TmLu2Ge4Pt4 for Cu Kα, 1.54184 Å, from a crystal structure in OQMD, relaxed with GGA-PBE.
Kinematic intensities with the Lorentz-polarization factor, no thermal factor.

Cell and atoms:
Unit cell a=4.1322 b=7.0916 c=13.7661 alpha=90.00 beta=90.00 gamma=90.00
Space group Immm (No. 71)
Asymmetric unit:
1 Tm 0.0000 0.0000 0.0000 x2
2 Lu 0.0000 0.5000 0.1251 x4
3 Ge 0.0000 0.0000 0.2193 x4
4 Ge 0.0000 0.1864 0.5000 x4
5 Pt 0.0000 0.2959 0.3268 x8

Peak list (10 most intense, 10 to 90 degrees two-theta, sorted by position)
Position (°2θ), intensity, hkl
12.9, 23, 0 0 2
33.9, 100, 1 2 1
35.0, 25, 0 1 5
36.3, 67, 1 1 4
38.8, 47, 1 2 3
39.3, 41, 0 0 6
43.0, 40, 0 3 3
43.8, 43, 2 0 0
47.2, 30, 0 2 6
63.1, 26, 2 3 3

=====

4.
Simulated powder diffraction line list of LuTlGeTe3 for Cu Kα, 1.54184 Å, from a crystal structure in OQMD, relaxed with GGA-PBE.
Kinematic intensities with the Lorentz-polarization factor, no thermal factor.

Cell and atoms:
Unit cell a=8.9435 b=4.2272 c=11.4644 alpha=90.00 beta=107.85 gamma=90.00
Space group P2_1/m (No. 11)
Asymmetric unit:
1 Lu 0.1366 0.2500 0.1599 x2
2 Tl 0.2638 0.7500 0.7182 x2
3 Ge 0.3778 0.7500 0.4471 x2
4 Te 0.1181 0.2500 0.8920 x2
5 Te 0.1601 0.2500 0.4318 x2
6 Te 0.3933 0.7500 0.2143 x2

Peak list (10 most intense, 10 to 90 degrees two-theta, sorted by position)
Position (°2θ), intensity, hkl
25.9, 26, 1 1 1
26.7, 29, 1 1 -2
29.1, 24, 2 1 -1
29.8, 100, 2 1 0
31.2, 60, 1 0 -4
34.4, 37, 2 1 -3
42.8, 31, 0 2 0
43.4, 44, 1 1 4
43.9, 21, 3 1 -4
53.9, 26, 1 2 -4